# 1
Diffraction record for Ho3B2Pt9. The PXRD pattern is computed, not measured: it uses DFT lattice parameters and positions (PBE) and Cu Kα X-rays.
Peak positions follow from Bragg's law for the DFT cell and can differ from measured ones.

Structure:
Cell lengths 5.9967, 5.9967, 14.6704 Å; angles 90.00, 90.00, 120.00 degrees
Space group P6_3/mmc (No. 194)
Asymmetric unit:
Ho 0.0000 0.0000 0.2500 (multiplicity 2)
Ho 0.3333 0.6667 0.0787 (multiplicity 4)
B 0.3333 0.6667 0.6600 (multiplicity 4)
Pt 0.0143 0.5072 0.2500 (multiplicity 6)
Pt 0.1602 0.3204 0.5810 (multiplicity 12)

The 12 most intense peaks (10° ≤ 2θ ≤ 90°), low angle first:
- (2 0 1), 35.10 deg, intensity 20
- (0 0 6), 36.73 deg, intensity 100
- (2 0 3), 39.28 deg, intensity 65
- (2 0 4), 42.66 deg, intensity 36
- (2 0 5), 46.71 deg, intensity 15
- (2 0 7), 56.41 deg, intensity 5
- (2 2 0), 61.91 deg, intensity 41
- (2 0 9), 67.89 deg, intensity 13
- (2 2 6), 74.20 deg, intensity 44
- (4 0 3), 75.81 deg, intensity 9
- (4 0 4), 78.08 deg, intensity 6
- (2 0 11), 81.02 deg, intensity 7

=====

# 2
Diffraction record for Ca2H3N2. The PXRD pattern is computed, not measured: it uses DFT lattice parameters and positions (PBE) and Cu Kα X-rays.
Peak positions follow from Bragg's law for the DFT cell and can differ from measured ones.

Structure:
Cell lengths 3.704, 3.706, 7.322 Å; angles 75.75, 79.97, 84.71 degrees
Space group P1 (No. 1)
Asymmetric unit:
Ca 0.000 0.000 0.000 (multiplicity 1)
Ca 0.490 0.551 0.619 (multiplicity 1)
H 0.034 0.109 0.535 (multiplicity 1)
H 0.457 0.435 0.137 (multiplicity 1)
H 0.618 0.632 0.908 (multiplicity 1)
N 0.021 0.072 0.682 (multiplicity 1)
N 0.438 0.439 0.996 (multiplicity 1)

The 12 most intense peaks (10° ≤ 2θ ≤ 90°), low angle first:
- (0 0 1), 12.63 deg, intensity 100
- (0 1 1), 25.09 deg, intensity 22
- (0 0 2), 25.42 deg, intensity 44
- (1 0 1), 25.73 deg, intensity 23
- (1 0 -1), 29.36 deg, intensity 13
- (0 1 -1), 30.54 deg, intensity 14
- (1 1 1), 32.85 deg, intensity 18
- (1 1 0), 34.16 deg, intensity 39
- (1 -1 0), 36.04 deg, intensity 38
- (0 0 3), 38.54 deg, intensity 23
- (1 1 3), 43.94 deg, intensity 15
- (2 0 0), 50.09 deg, intensity 12

=====

# 3
Diffraction record for Zn4Cu3Pd. The PXRD pattern is computed, not measured: it uses DFT lattice parameters and positions (PBE) and Cu Kα X-rays.
Peak positions follow from Bragg's law for the DFT cell and can differ from measured ones.

Structure:
Cell lengths 8.729, 5.486, 4.505 Å; angles 90.00, 90.00, 90.00 degrees
Space group Pmma (No. 51)
Asymmetric unit:
Zn 0.000 0.246 0.000 (multiplicity 4)
Zn 0.250 0.246 0.382 (multiplicity 4)
Cu 0.000 0.000 0.500 (multiplicity 2)
Cu 0.250 0.000 0.872 (multiplicity 2)
Cu 0.250 0.500 0.885 (multiplicity 2)
Pd 0.000 0.500 0.500 (multiplicity 2)

The 12 most intense peaks (10° ≤ 2θ ≤ 90°), low angle first:
- (1 2 1), 39.84 deg, intensity 18
- (0 0 2), 40.02 deg, intensity 14
- (4 0 0), 41.38 deg, intensity 56
- (2 2 1), 43.86 deg, intensity 100
- (2 0 2), 45.30 deg, intensity 15
- (3 2 1), 49.98 deg, intensity 9
- (3 0 2), 51.29 deg, intensity 9
- (0 2 3), 71.64 deg, intensity 10
- (6 2 1), 77.18 deg, intensity 17
- (4 4 0), 83.20 deg, intensity 13
- (4 2 3), 86.25 deg, intensity 11
- (8 0 0), 89.94 deg, intensity 13

=====

# 4
Diffraction record for HgCl. The PXRD pattern is computed, not measured: it uses DFT lattice parameters and positions (PBE) and Cu Kα X-rays.
Peak positions follow from Bragg's law for the DFT cell and can differ from measured ones.

Structure:
Cell lengths 12.843, 3.878, 8.090 Å; angles 90.00, 116.74, 90.00 degrees
Space group Cm (No. 8)
Asymmetric unit:
Hg 0.000 0.000 0.000 (multiplicity 2)
Hg 0.052 0.000 0.418 (multiplicity 2)
Hg 0.318 0.000 0.952 (multiplicity 2)
Cl 0.148 0.500 0.945 (multiplicity 2)
Cl 0.206 0.500 0.503 (multiplicity 2)
Cl 0.411 0.000 0.403 (multiplicity 2)

The 12 most intense peaks (10° ≤ 2θ ≤ 90°), low angle first:
- (0 0 1), 12.25 deg, intensity 40
- (2 0 -1), 14.78 deg, intensity 87
- (1 1 0), 24.23 deg, intensity 48
- (0 0 2), 24.64 deg, intensity 100
- (3 1 -1), 31.18 deg, intensity 80
- (3 1 0), 32.90 deg, intensity 81
- (2 0 -3), 33.24 deg, intensity 29
- (3 1 -2), 34.31 deg, intensity 41
- (1 1 2), 37.34 deg, intensity 30
- (3 1 -3), 41.34 deg, intensity 40
- (0 2 0), 46.86 deg, intensity 40
- (3 1 2), 47.85 deg, intensity 32

=====

# 5
Diffraction record for Rb3PuAg2Cl8. The PXRD pattern is computed, not measured: it uses DFT lattice parameters and positions (PBE) and Cu Kα X-rays.
Peak positions follow from Bragg's law for the DFT cell and can differ from measured ones.

Structure:
Cell lengths 7.4929, 7.4929, 9.9098 Å; angles 90.00, 90.00, 120.00 degrees
Space group P-3m1 (No. 164)
Asymmetric unit:
Rb 0.0000 0.0000 0.0000 (multiplicity 1)
Rb 0.3333 0.6667 0.6203 (multiplicity 2)
Pu 0.0000 0.0000 0.5000 (multiplicity 1)
Ag 0.3333 0.6667 0.1752 (multiplicity 2)
Cl 0.1666 0.3331 0.3368 (multiplicity 6)
Cl 0.3333 0.6667 0.9326 (multiplicity 2)

The 12 most intense peaks (10° ≤ 2θ ≤ 90°), low angle first:
- (1 0 1), 16.33 deg, intensity 42
- (0 1 2), 22.58 deg, intensity 67
- (1 1 0), 23.75 deg, intensity 100
- (1 1 2), 29.90 deg, intensity 17
- (2 0 2), 33.00 deg, intensity 58
- (1 0 4), 38.91 deg, intensity 32
- (1 2 2), 41.06 deg, intensity 29
- (3 0 0), 41.76 deg, intensity 22
- (0 2 4), 46.10 deg, intensity 31
- (2 2 0), 48.60 deg, intensity 27
- (2 1 4), 52.50 deg, intensity 19
- (0 4 2), 60.01 deg, intensity 16

=====

# 6
Diffraction record for Y3Ga4Ni4. The PXRD pattern is computed, not measured: it uses DFT lattice parameters and positions (PBE) and Cu Kα X-rays.
Peak positions follow from Bragg's law for the DFT cell and can differ from measured ones.

Structure:
Cell lengths 3.728, 4.196, 12.851 Å; angles 99.27, 98.28, 90.02 degrees
Space group P-1 (No. 2)
Asymmetric unit:
Y 0.000 0.000 0.000 (multiplicity 1)
Y 0.149 0.649 0.295 (multiplicity 2)
Ga 0.304 0.805 0.611 (multiplicity 2)
Ga 0.447 0.449 0.897 (multiplicity 2)
Ni 0.255 0.254 0.508 (multiplicity 2)
Ni 0.400 0.903 0.805 (multiplicity 2)

The 12 most intense peaks (10° ≤ 2θ ≤ 90°), low angle first:
- (1 1 0), 32.90 deg, intensity 18
- (1 0 3), 34.71 deg, intensity 63
- (1 1 -3), 35.24 deg, intensity 100
- (0 1 4), 38.78 deg, intensity 29
- (0 2 -1), 43.12 deg, intensity 40
- (0 1 -6), 45.24 deg, intensity 37
- (2 0 -1), 48.84 deg, intensity 36
- (1 0 6), 53.45 deg, intensity 12
- (1 2 2), 56.48 deg, intensity 22
- (2 2 -2), 67.18 deg, intensity 20
- (-2 1 6), 68.75 deg, intensity 17
- (1 3 -4), 73.94 deg, intensity 10